No. 1
The following is a computed XRD peak list of CsInCuP6O18. It was derived from a DFT-relaxed cell (PBE, the Materials Project), using copper Kα.
No peak broadening, texture or thermal motion is included.

Cell and atoms:
```
data_CsInCuP6O18
_chemical_formula_sum 'Cs1 In1 Cu1 P6 O18'
_space_group_name_H-M_alt 'P 1'
_space_group_IT_number 1
_cell_length_a 5.2188
_cell_length_b 9.1407
_cell_length_c 9.3650
_cell_angle_alpha 86.68
_cell_angle_beta 74.61
_cell_angle_gamma 74.03
loop_
_space_group_symop_operation_xyz
'x,y,z'
loop_
_atom_site_label
_atom_site_fract_x
_atom_site_fract_y
_atom_site_fract_z
Cs1 0.0000 0.0000 0.0000
In1 0.4937 0.0218 0.5214
Cu1 0.4935 0.5203 0.0232
P1 0.0562 0.5624 0.8179
P2 0.0885 0.7841 0.5666
P3 0.4908 0.2666 0.7758
P4 0.4949 0.7764 0.2699
P5 0.8971 0.2587 0.4790
P6 0.9293 0.4801 0.2277
O1 0.1603 0.6328 0.6570
O2 0.1752 0.6190 0.9269
O3 0.1753 0.9094 0.6244
O4 0.1934 0.2231 0.4847
O5 0.1993 0.3854 0.7745
O6 0.2363 0.4547 0.1953
O7 0.2837 0.7212 0.4080
O8 0.4160 0.7630 0.1308
O9 0.4656 0.1122 0.7388
O10 0.5209 0.9305 0.3064
O11 0.5708 0.2799 0.9145
O12 0.7008 0.3222 0.6376
O13 0.7489 0.5885 0.8508
O14 0.7856 0.6574 0.2716
O15 0.7916 0.8204 0.5621
O16 0.8107 0.4245 0.1182
O17 0.8118 0.1328 0.4219
O18 0.8250 0.4098 0.3886
```

The 8 most intense peaks (2θ = 15–90°), in order of rising 2θ:
| two_theta | I_rel |
| --- | --- |
| 19.67 | 34 |
| 22.30 | 56 |
| 22.96 | 90 |
| 23.23 | 100 |
| 23.58 | 44 |
| 27.13 | 33 |
| 30.85 | 49 |
| 31.32 | 29 |

No. 2
The following is a computed XRD peak list of CdPt3. It was derived from a DFT-relaxed cell (PBE, the Materials Project), using copper Kα.
No peak broadening, texture or thermal motion is included.

Cell and atoms:
```
data_CdPt3
_chemical_formula_sum 'Cd1 Pt3'
_space_group_name_H-M_alt 'P m -3 m'
_space_group_IT_number 221
_space_group_name_Hall '-P 4 2 3'
_cell_length_a 4.0488
_cell_length_b 4.0488
_cell_length_c 4.0488
_cell_angle_alpha 90.00
_cell_angle_beta 90.00
_cell_angle_gamma 90.00
loop_
_atom_site_label
_atom_site_fract_x
_atom_site_fract_y
_atom_site_fract_z
Cd1 0.0000 0.0000 0.0000
Pt1 0.0000 0.5000 0.5000
```

The 8 most intense peaks (2θ = 15–90°), in order of rising 2θ:
| two_theta | I_rel |
| --- | --- |
| 21.95 | 4 |
| 31.24 | 3 |
| 38.51 | 100 |
| 44.77 | 49 |
| 50.40 | 2 |
| 65.17 | 32 |
| 78.32 | 38 |
| 82.54 | 11 |

No. 3
The following is a computed XRD peak list of Na3MgPCO7. It was derived from a DFT-relaxed cell (PBE, the Materials Project), using copper Kα.
No peak broadening, texture or thermal motion is included.

Cell and atoms:
```
data_Na3MgPCO7
_chemical_formula_sum 'Na6 Mg2 P2 C2 O14'
_space_group_name_H-M_alt 'P 1 21 1'
_space_group_IT_number 4
_cell_length_a 5.3034
_cell_length_b 6.5848
_cell_length_c 9.0202
_cell_angle_alpha 90.00
_cell_angle_beta 90.29
_cell_angle_gamma 90.00
loop_
_space_group_symop_operation_xyz
'x,y,z'
'-x,y+1/2,-z'
loop_
_atom_site_label
_atom_site_fract_x
_atom_site_fract_y
_atom_site_fract_z
Na1 0.0005 0.0000 0.0046
Na2 0.4531 0.2986 0.1671
Na3 0.4988 0.5027 0.5110
Mg1 0.0164 0.7441 0.2941
P1 0.0222 0.7479 0.6531
C1 0.4902 0.7477 0.1529
O1 0.0430 0.0537 0.2560
O2 0.0736 0.4338 0.2540
O3 0.1197 0.2414 0.4988
O4 0.2694 0.2387 0.8817
O5 0.3092 0.7653 0.6298
O6 0.3204 0.7469 0.0478
O7 0.4216 0.7533 0.2902
```

The 8 most intense peaks (2θ = 15–90°), in order of rising 2θ:
| two_theta | I_rel |
| --- | --- |
| 16.71 | 20 |
| 23.91 | 25 |
| 27.08 | 44 |
| 33.54 | 100 |
| 33.78 | 54 |
| 34.36 | 40 |
| 36.91 | 17 |
| 55.85 | 19 |

No. 4
The following is a computed XRD peak list of FeSiMo. It was derived from a DFT-relaxed cell (PBE, the Materials Project), using copper Kα.
No peak broadening, texture or thermal motion is included.

Cell and atoms:
```
data_FeSiMo
_chemical_formula_sum 'Fe8 Si8 Mo8'
_space_group_name_H-M_alt 'A m m 2'
_space_group_IT_number 38
_cell_length_a 7.6572
_cell_length_b 4.8960
_cell_length_c 8.0146
_cell_angle_alpha 90.00
_cell_angle_beta 90.00
_cell_angle_gamma 90.00
loop_
_space_group_symop_operation_xyz
'x,y,z'
'-x,-y,z'
'-x,y,z'
'x,-y,z'
'x,y+1/2,z+1/2'
'-x,-y+1/2,z+1/2'
'-x,y+1/2,z+1/2'
'x,-y+1/2,z+1/2'
loop_
_atom_site_label
_atom_site_fract_x
_atom_site_fract_y
_atom_site_fract_z
Fe1 0.0000 0.0000 0.0000
Fe2 0.0000 0.2394 0.7587
Fe3 0.5000 0.0000 0.3226
Si1 0.2379 0.0000 0.1824
Si2 0.5000 0.2392 0.5776
Mo1 0.1818 0.0000 0.5091
Mo2 0.3110 0.0000 0.8417
```

The 8 most intense peaks (2θ = 15–90°), in order of rising 2θ:
| two_theta | I_rel |
| --- | --- |
| 36.71 | 31 |
| 38.38 | 40 |
| 41.46 | 100 |
| 41.97 | 37 |
| 43.90 | 34 |
| 44.98 | 68 |
| 45.34 | 93 |
| 72.20 | 37 |

No. 5
The following is a computed XRD peak list of As7Rh12. It was derived from a DFT-relaxed cell (PBE, the Materials Project), using copper Kα.
No peak broadening, texture or thermal motion is included.

Cell and atoms:
```
data_As7Rh12
_chemical_formula_sum 'As7 Rh12'
_space_group_name_H-M_alt 'P 3'
_space_group_IT_number 143
_cell_length_a 9.4070
_cell_length_b 9.4070
_cell_length_c 3.7271
_cell_angle_alpha 90.00
_cell_angle_beta 90.00
_cell_angle_gamma 120.00
loop_
_space_group_symop_operation_xyz
'x,y,z'
'-y,x-y,z'
'-x+y,-x,z'
loop_
_atom_site_label
_atom_site_fract_x
_atom_site_fract_y
_atom_site_fract_z
As1 0.0000 0.0000 0.0000
As2 0.1584 0.4449 0.1622
As3 0.4461 0.2848 0.6656
Rh1 0.0076 0.2356 0.6669
Rh2 0.1375 0.6207 0.6600
Rh3 0.2515 0.2416 0.1678
Rh4 0.5155 0.1340 0.1666
```

The 8 most intense peaks (2θ = 15–90°), in order of rising 2θ:
| two_theta | I_rel |
| --- | --- |
| 37.90 | 100 |
| 39.90 | 23 |
| 41.13 | 28 |
| 45.61 | 18 |
| 48.87 | 20 |
| 51.40 | 23 |
| 73.64 | 12 |
| 77.53 | 20 |

No. 6
The following is a computed XRD peak list of La3FeCoS7. It was derived from a DFT-relaxed cell (PBE, the Materials Project), using copper Kα.
No peak broadening, texture or thermal motion is included.

Cell and atoms:
```
data_La3FeCoS7
_chemical_formula_sum 'La6 Fe2 Co2 S14'
_space_group_name_H-M_alt 'P 63'
_space_group_IT_number 173
_cell_length_a 10.1752
_cell_length_b 10.1752
_cell_length_c 5.8757
_cell_angle_alpha 90.00
_cell_angle_beta 90.00
_cell_angle_gamma 120.00
loop_
_space_group_symop_operation_xyz
'x,y,z'
'x-y,x,z+1/2'
'-y,x-y,z'
'-x,-y,z+1/2'
'-x+y,-x,z'
'y,-x+y,z+1/2'
loop_
_atom_site_label
_atom_site_fract_x
_atom_site_fract_y
_atom_site_fract_z
La1 0.1415 0.7697 0.0000
Fe1 0.3333 0.6667 0.5877
Co1 0.0000 0.0000 0.2221
S1 0.0840 0.8638 0.4686
S2 0.0972 0.5170 0.7222
S3 0.3333 0.6667 0.2104
```

The 8 most intense peaks (2θ = 15–90°), in order of rising 2θ:
| two_theta | I_rel |
| --- | --- |
| 23.13 | 26 |
| 25.27 | 100 |
| 26.77 | 29 |
| 34.13 | 35 |
| 35.28 | 58 |
| 36.77 | 60 |
| 39.95 | 35 |
| 40.96 | 28 |

No. 7
The following is a computed XRD peak list of Y2CdSe4. It was derived from a DFT-relaxed cell (PBE, the Materials Project), using copper Kα.
No peak broadening, texture or thermal motion is included.

Cell and atoms:
Cell: 11.8326 11.8326 11.8326 Å, 90.00 90.00 90.00°
Space group Fd-3m (No. 227, origin choice 2)
Asymmetric unit:
1 Y 0.0000 0.0000 0.0000 x16
2 Cd 0.1250 0.1250 0.6250 x8
3 Se 0.0069 0.0069 0.2431 x32

The 8 most intense peaks (2θ = 15–90°), in order of rising 2θ:
| two_theta | I_rel |
| --- | --- |
| 21.24 | 25 |
| 24.96 | 67 |
| 30.21 | 54 |
| 39.58 | 37 |
| 43.25 | 100 |
| 62.83 | 16 |
| 71.29 | 16 |
| 79.34 | 31 |